Record 1
CeMnH8Ir2: computed XRD peak list (Cu Kα), based on a cell relaxed with PBE.

Top 12 peaks for 2θ from 15° to 90°, in order of rising 2θ:
2θ 16.7, I 18.8
2θ 22.6, I 31.3
2θ 24.7, I 19.5
2θ 31.5, I 92.5
2θ 35.9, I 67.7
2θ 38.5, I 100.0
2θ 50.6, I 24.4
2θ 53.6, I 21.4
2θ 65.3, I 22.9
2θ 66.3, I 21.8
2θ 67.9, I 21.7
2θ 69.6, I 17.4

Cell and atoms:
abc: 5.9458 5.9458 5.9458
angles: 46.37 46.37 46.37
Fractional positions:
Ce: 0.0000 0.0000 0.0000
Mn: 0.5000 0.5000 0.5000
H: 0.1270 0.5546 0.5546
H: 0.3175 0.3175 0.3175
H: 0.4454 0.4454 0.8730
H: 0.4454 0.8730 0.4454
H: 0.5546 0.1270 0.5546
H: 0.5546 0.5546 0.1270
H: 0.6825 0.6825 0.6825
H: 0.8730 0.4454 0.4454
Ir: 0.2132 0.2132 0.2132
Ir: 0.7868 0.7868 0.7868

***

Record 2
Ho2Al3Ag: computed XRD peak list (Cu Kα), based on a cell relaxed with PBE.

Top 12 peaks for 2θ from 15° to 90°, in order of rising 2θ:
2θ 20.0, I 33.4
2θ 20.8, I 31.2
2θ 31.9, I 100.0
2θ 35.5, I 79.6
2θ 37.9, I 87.0
2θ 38.4, I 26.3
2θ 56.8, I 19.2
2θ 59.2, I 35.4
2θ 60.9, I 21.4
2θ 66.0, I 16.3
2θ 66.7, I 18.7
2θ 77.9, I 16.5

Cell and atoms:
abc: 5.6122 5.6122 8.8814
angles: 90.00 90.00 120.00
Fractional positions:
Ho: 0.3333 0.6667 0.0713
Ho: 0.3333 0.6667 0.4287
Ho: 0.6667 0.3333 0.5713
Ho: 0.6667 0.3333 0.9287
Al: 0.1710 0.3420 0.7500
Al: 0.1710 0.8290 0.7500
Al: 0.3420 0.1710 0.2500
Al: 0.6580 0.8290 0.7500
Al: 0.8290 0.1710 0.2500
Al: 0.8290 0.6580 0.2500
Ag: 0.0000 0.0000 0.0000
Ag: 0.0000 0.0000 0.5000

***

Record 3
CrSn4Se8: computed XRD peak list (Cu Kα), based on a cell relaxed with PBE.

Top 12 peaks for 2θ from 15° to 90°, in order of rising 2θ:
2θ 26.5, I 24.7
2θ 32.3, I 100.0
2θ 35.4, I 16.4
2θ 46.0, I 36.6
2θ 46.8, I 34.4
2θ 48.3, I 7.5
2θ 57.3, I 18.5
2θ 64.8, I 7.6
2θ 67.7, I 11.0
2θ 76.4, I 15.5
2θ 77.6, I 14.6
2θ 85.7, I 11.5

Cell and atoms:
abc: 7.7731 7.7731 7.7731
angles: 61.07 61.07 61.07
Fractional positions:
Cr: 0.0000 0.0000 0.0000
Sn: 0.0000 0.0000 0.5000
Sn: 0.0000 0.5000 0.0000
Sn: 0.5000 0.0000 0.0000
Sn: 0.5000 0.5000 0.5000
Se: 0.2329 0.2329 0.7653
Se: 0.2329 0.7653 0.2329
Se: 0.2347 0.7671 0.7671
Se: 0.2514 0.2514 0.2514
Se: 0.7486 0.7486 0.7486
Se: 0.7653 0.2329 0.2329
Se: 0.7671 0.2347 0.7671
Se: 0.7671 0.7671 0.2347

***

Record 4
Ba8Ga7: computed XRD peak list (Cu Kα), based on a cell relaxed with PBE.

Top 12 peaks for 2θ from 15° to 90°, in order of rising 2θ:
2θ 23.6, I 33.9
2θ 25.5, I 69.6
2θ 27.3, I 25.6
2θ 28.1, I 100.0
2θ 29.0, I 76.4
2θ 30.6, I 29.3
2θ 31.3, I 30.8
2θ 34.3, I 21.8
2θ 35.0, I 49.8
2θ 37.0, I 42.5
2θ 44.4, I 31.5
2θ 46.6, I 33.0

Cell and atoms:
abc: 13.0774 13.0774 13.0774
angles: 90.00 90.00 90.00
Fractional positions:
Ba: 0.0010 0.2025 0.9430
Ba: 0.0196 0.2031 0.4388
Ba: 0.0570 0.5010 0.2975
Ba: 0.0612 0.9804 0.7031
Ba: 0.1869 0.6869 0.8131
Ba: 0.1879 0.8121 0.3121
Ba: 0.2031 0.4388 0.0196
Ba: 0.2025 0.9430 0.0010
Ba: 0.2975 0.0570 0.5010
Ba: 0.2969 0.5612 0.5196
Ba: 0.3121 0.1879 0.8121
Ba: 0.3131 0.3131 0.3131
Ba: 0.4388 0.0196 0.2031
Ba: 0.4430 0.4990 0.7975
Ba: 0.4804 0.7969 0.9388
Ba: 0.4990 0.7975 0.4430
Ba: 0.5010 0.2975 0.0570
Ba: 0.5196 0.2969 0.5612
Ba: 0.5570 0.9990 0.7025
Ba: 0.5612 0.5196 0.2969
Ba: 0.6869 0.8131 0.1869
Ba: 0.6879 0.6879 0.6879
Ba: 0.7031 0.0612 0.9804
Ba: 0.7025 0.5570 0.9990
Ba: 0.7975 0.4430 0.4990
Ba: 0.7969 0.9388 0.4804
Ba: 0.8121 0.3121 0.1879
Ba: 0.8131 0.1869 0.6869
Ba: 0.9388 0.4804 0.7969
Ba: 0.9430 0.0010 0.2025
Ba: 0.9804 0.7031 0.0612
Ba: 0.9990 0.7025 0.5570
Ga: 0.0678 0.4322 0.5678
Ga: 0.0756 0.2599 0.6934
Ga: 0.0821 0.2464 0.1875
Ga: 0.1875 0.0821 0.2464
Ga: 0.1934 0.4244 0.7401
Ga: 0.2401 0.3066 0.5756
Ga: 0.2464 0.1875 0.0821
Ga: 0.2536 0.8125 0.5821
Ga: 0.2599 0.6934 0.0756
Ga: 0.3066 0.5756 0.2401
Ga: 0.3125 0.9179 0.7464
Ga: 0.4179 0.7536 0.6875
Ga: 0.4244 0.7401 0.1934
Ga: 0.4322 0.5678 0.0678
Ga: 0.5678 0.0678 0.4322
Ga: 0.5756 0.2401 0.3066
Ga: 0.5821 0.2536 0.8125
Ga: 0.6875 0.4179 0.7536
Ga: 0.6934 0.0756 0.2599
Ga: 0.7401 0.1934 0.4244
Ga: 0.7464 0.3125 0.9179
Ga: 0.7536 0.6875 0.4179
Ga: 0.7599 0.8066 0.9244
Ga: 0.8066 0.9244 0.7599
Ga: 0.8125 0.5821 0.2536
Ga: 0.9179 0.7464 0.3125
Ga: 0.9244 0.7599 0.8066
Ga: 0.9322 0.9322 0.9322